[1]
This entry pairs a crystal structure of Cs2CoH5 with its theoretical powder XRD pattern. Radiation: a wavelength of 1.5418 Å. Structure: a cell relaxed with PBE.

Peak list (10 most intense, 5° ≤ 2θ ≤ 70°, by intensity)
3.028 Å, 2θ = 29.50°, I = 100
3.150 Å, 2θ = 28.34°, I = 55
4.454 Å, 2θ = 19.93°, I = 47
1.794 Å, 2θ = 50.90°, I = 42
2.504 Å, 2θ = 35.86°, I = 23
2.227 Å, 2θ = 40.51°, I = 21
4.128 Å, 2θ = 21.53°, I = 19
1.726 Å, 2θ = 53.05°, I = 18
5.008 Å, 2θ = 17.71°, I = 16
1.514 Å, 2θ = 61.23°, I = 12

Structural model:
```
data_Cs2CoH5
_chemical_formula_sum 'Cs4 Co2 H10'
_cell_length_a 6.299
_cell_length_b 6.299
_cell_length_c 8.255
_cell_angle_alpha 90.00
_cell_angle_beta 90.00
_cell_angle_gamma 90.00
_symmetry_space_group_name_H-M 'I 4 m m'
_symmetry_Int_Tables_number 107
_symmetry_space_group_name_Hall 'I 4 -2'
loop_
_atom_site_label
_atom_site_type_symbol
_atom_site_fract_x
_atom_site_fract_y
_atom_site_fract_z
_atom_site_occupancy
Cs1 Cs 0.000 0.500 0.000 1
Co1 Co 0.000 0.000 0.253 1
H1 H 0.000 0.000 0.429 1
H2 H 0.176 0.176 0.252 1
```

---

[2]
This entry pairs a crystal structure of Cs2NaCoH6 with its theoretical powder XRD pattern. Radiation: a wavelength of 1.5418 Å. Structure: a cell relaxed with PBE.

Peak list (10 most intense, 5° ≤ 2θ ≤ 70°, by intensity)
3.813 Å, 2θ = 23.33°, I = 100
3.095 Å, 2θ = 28.85°, I = 74
2.420 Å, 2θ = 37.15°, I = 32
2.403 Å, 2θ = 37.43°, I = 30
1.898 Å, 2θ = 47.93°, I = 28
1.623 Å, 2θ = 56.71°, I = 18
1.906 Å, 2θ = 47.71°, I = 16
1.787 Å, 2θ = 51.12°, I = 14
1.434 Å, 2θ = 65.05°, I = 12
5.425 Å, 2θ = 16.34°, I = 10

Structural model:
```
data_Cs2NaCoH6
_chemical_formula_sum 'Cs2 Na1 Co1 H6'
_cell_length_a 6.1892
_cell_length_b 6.1892
_cell_length_c 5.4246
_cell_angle_alpha 90.00
_cell_angle_beta 90.00
_cell_angle_gamma 120.00
_symmetry_space_group_name_H-M 'P -3 m 1'
_symmetry_Int_Tables_number 164
_symmetry_space_group_name_Hall '-P 3 2"'
loop_
_atom_site_label
_atom_site_type_symbol
_atom_site_fract_x
_atom_site_fract_y
_atom_site_fract_z
_atom_site_occupancy
Cs1 Cs 0.3333 0.6667 0.2109 1
Na1 Na 0.0000 0.0000 0.5000 1
Co1 Co 0.0000 0.0000 0.0000 1
H1 H 0.1223 0.2445 0.8392 1
```

---

[3]
This entry pairs a crystal structure of Cs3CoI5 with its theoretical powder XRD pattern. Radiation: a wavelength of 1.5418 Å. Structure: a cell relaxed with PBE.

Peak list (10 most intense, 5° ≤ 2θ ≤ 70°, by intensity)
3.729 Å, 2θ = 23.86°, I = 100
3.558 Å, 2θ = 25.03°, I = 84
3.590 Å, 2θ = 24.80°, I = 80
3.432 Å, 2θ = 25.96°, I = 68
3.189 Å, 2θ = 27.98°, I = 48
2.936 Å, 2θ = 30.44°, I = 39
1.908 Å, 2θ = 47.66°, I = 30
2.266 Å, 2θ = 39.77°, I = 29
3.100 Å, 2θ = 28.80°, I = 25
2.740 Å, 2θ = 32.68°, I = 24

Structural model:
```
data_Cs3CoI5
_chemical_formula_sum 'Cs12 Co4 I20'
_cell_length_a 10.180
_cell_length_b 11.746
_cell_length_c 15.199
_cell_angle_alpha 90.00
_cell_angle_beta 90.00
_cell_angle_gamma 90.00
_symmetry_space_group_name_H-M 'P n m a'
_symmetry_Int_Tables_number 62
loop_
_symmetry_equiv_pos_as_xyz
'x,y,z'
'-x,-y,-z'
'-x+1/2,-y,z+1/2'
'x+1/2,y,-z+1/2'
'x+1/2,-y+1/2,-z+1/2'
'-x+1/2,y+1/2,z+1/2'
'-x,y+1/2,-z'
'x,-y+1/2,z'
loop_
_atom_site_label
_atom_site_type_symbol
_atom_site_fract_x
_atom_site_fract_y
_atom_site_fract_z
_atom_site_occupancy
Cs1 Cs 0.084 0.016 0.172 1
Cs2 Cs 0.085 0.250 0.453 1
Co1 Co 0.186 0.250 0.894 1
I1 I 0.029 0.750 0.015 1
I2 I 0.140 0.250 0.727 1
I3 I 0.164 0.750 0.739 1
I4 I 0.191 0.565 0.435 1
```

---

[4]
This entry pairs a crystal structure of CsScCoI6 with its theoretical powder XRD pattern. Radiation: a wavelength of 1.5418 Å. Structure: a cell relaxed with PBE.

Peak list (10 most intense, 5° ≤ 2θ ≤ 70°, by intensity)
3.417 Å, 2θ = 26.08°, I = 100
2.834 Å, 2θ = 31.57°, I = 77
5.186 Å, 2θ = 17.10°, I = 41
8.789 Å, 2θ = 10.06°, I = 34
2.141 Å, 2θ = 42.21°, I = 29
1.890 Å, 2θ = 48.14°, I = 24
2.930 Å, 2θ = 30.51°, I = 17
2.340 Å, 2θ = 38.47°, I = 17
1.729 Å, 2θ = 52.97°, I = 15
2.299 Å, 2θ = 39.19°, I = 14

Structural model:
```
data_CsScCoI6
_chemical_formula_sum 'Cs1 Sc1 Co1 I6'
_cell_length_a 7.4165
_cell_length_b 7.4165
_cell_length_c 8.7890
_cell_angle_alpha 90.00
_cell_angle_beta 90.00
_cell_angle_gamma 120.00
_symmetry_space_group_name_H-M 'P 3 1 2'
_symmetry_Int_Tables_number 149
loop_
_symmetry_equiv_pos_as_xyz
'x,y,z'
'-y,x-y,z'
'-x+y,-x,z'
'-y,-x,-z'
'-x+y,y,-z'
'x,x-y,-z'
loop_
_atom_site_label
_atom_site_type_symbol
_atom_site_fract_x
_atom_site_fract_y
_atom_site_fract_z
_atom_site_occupancy
Cs1 Cs 0.0000 0.0000 0.0000 1
Sc1 Sc 0.3333 0.6667 0.5000 1
Co1 Co 0.6667 0.3333 0.5000 1
I1 I 0.3766 0.0095 0.6853 1
```

---

[5]
This entry pairs a crystal structure of Cs2CoIrS4 with its theoretical powder XRD pattern. Radiation: a wavelength of 1.5418 Å. Structure: a cell relaxed with PBE.

Peak list (10 most intense, 5° ≤ 2θ ≤ 70°, by intensity)
3.566 Å, 2θ = 24.97°, I = 100
2.889 Å, 2θ = 30.95°, I = 56
1.890 Å, 2θ = 48.14°, I = 47
3.674 Å, 2θ = 24.23°, I = 46
6.119 Å, 2θ = 14.48°, I = 43
4.839 Å, 2θ = 18.33°, I = 40
1.789 Å, 2θ = 51.05°, I = 38
3.541 Å, 2θ = 25.15°, I = 36
6.299 Å, 2θ = 14.06°, I = 36
2.100 Å, 2θ = 43.07°, I = 35

Structural model:
```
data_Cs2CoIrS4
_chemical_formula_sum 'Cs16 Co8 Ir8 S32'
_cell_length_a 5.241
_cell_length_b 14.695
_cell_length_c 24.475
_cell_angle_alpha 90.00
_cell_angle_beta 90.00
_cell_angle_gamma 90.00
_symmetry_space_group_name_H-M 'F d d d'
_symmetry_Int_Tables_number 70
loop_
_symmetry_equiv_pos_as_xyz
'x,y,z'
'-x,-y,-z'
'-x+1/4,-y+1/4,z'
'x+1/4,y+1/4,-z'
'x,-y+1/4,-z+1/4'
'-x,y+1/4,z+1/4'
'-x+1/4,y,-z+1/4'
'x+1/4,-y,z+1/4'
'x,y+1/2,z+1/2'
'-x,-y+1/2,-z+1/2'
'-x+1/4,-y+3/4,z+1/2'
'x+1/4,y+3/4,-z+1/2'
'x,-y+3/4,-z+3/4'
'-x,y+3/4,z+3/4'
'-x+1/4,y+1/2,-z+3/4'
'x+1/4,-y+1/2,z+3/4'
'x+1/2,y,z+1/2'
'-x+1/2,-y,-z+1/2'
'-x+3/4,-y+1/4,z+1/2'
'x+3/4,y+1/4,-z+1/2'
'x+1/2,-y+1/4,-z+3/4'
'-x+1/2,y+1/4,z+3/4'
'-x+3/4,y,-z+3/4'
'x+3/4,-y,z+3/4'
'x+1/2,y+1/2,z'
'-x+1/2,-y+1/2,-z'
'-x+3/4,-y+3/4,z'
'x+3/4,y+3/4,-z'
'x+1/2,-y+3/4,-z+1/4'
'-x+1/2,y+3/4,z+1/4'
'-x+3/4,y+1/2,-z+1/4'
'x+3/4,-y+1/2,z+1/4'
loop_
_atom_site_label
_atom_site_type_symbol
_atom_site_fract_x
_atom_site_fract_y
_atom_site_fract_z
_atom_site_occupancy
Cs1 Cs 0.125 0.125 0.303 1
Co1 Co 0.125 0.125 0.625 1
Ir1 Ir 0.125 0.125 0.125 1
S1 S 0.112 0.288 0.823 1
```